Record 1
Diffraction record for Cu4Bi2S5. The PXRD pattern is theoretical, not measured: it uses DFT lattice parameters and positions (PBE) and Cu Kα (weighted mean of Kα1 and Kα2).
Peak positions follow from Bragg's law for the DFT cell and can differ from measured ones.

Cell and atoms:
a b c (Å): 3.7769 3.7769 52.4749
angles (deg): 90.00 90.00 120.00
Space group R-3m (No. 166, hexagonal axes)
Unique sites:
Cu1 0.0000 0.0000 0.0941
Cu2 0.0000 0.0000 0.1852
Bi1 0.0000 0.0000 0.3716
S1 0.0000 0.0000 0.0000
S2 0.0000 0.0000 0.1369
S3 0.0000 0.0000 0.2567

Top 12 peaks for 2θ from 10° to 80°, in order of falling intensity:
Position (°2θ), I (rel.), hkl
33.21, 100, 0 1 11
28.12, 92, 1 0 4
48.19, 65, 1 1 0
30.54, 58, 0 1 8
38.89, 41, 1 0 16
29.80, 37, 1 0 7
47.16, 24, 1 0 22
15.20, 22, 0 0 9
58.18, 22, 2 0 8
28.59, 22, 0 1 5
59.78, 18, 2 0 11
25.46, 17, 0 0 15



Record 2
Diffraction record for CuBi2S3. The PXRD pattern is theoretical, not measured: it uses DFT lattice parameters and positions (PBE) and Cu Kα (weighted mean of Kα1 and Kα2).
Peak positions follow from Bragg's law for the DFT cell and can differ from measured ones.

Cell and atoms:
a b c (Å): 12.289 8.565 6.015
angles (deg): 90.00 90.00 90.00
Space group Cmc2_1 (No. 36)
Unique sites:
Cu1 0.000 0.169 0.000
Bi1 0.135 0.331 0.549
S1 0.000 0.092 0.631
S2 0.152 0.308 0.111

Top 12 peaks for 2θ from 10° to 80°, in order of falling intensity:
Position (°2θ), I (rel.), hkl
28.34, 100, 3 1 1
25.53, 92, 0 2 1
29.71, 78, 0 0 2
19.43, 78, 1 1 1
38.43, 61, 3 3 0
24.08, 59, 3 1 0
20.74, 56, 0 2 0
49.31, 55, 3 3 2
39.07, 42, 4 2 1
29.06, 35, 4 0 0
42.04, 29, 4 0 2
44.94, 28, 0 4 1